Entry 1:
Structure and simulated X-ray powder pattern of Ac2LaIr (a crystal structure in Alexandria, relaxed with PBE; Cu Kα (weighted mean of Kα1 and Kα2)).
Neutral-atom scattering factors, no anomalous dispersion.

Structural model:
```
Ac2LaIr
1.0
7.2971 0.0000 0.0000
0.0000 6.8619 0.0000
0.0000 0.0000 12.3562
Ac La Ir
8 4 4
Cartesian
0.6407 1.6822 0.9955
0.6407 1.7488 5.1826
3.0079 5.1131 5.1826
3.0079 5.1798 0.9955
4.2892 1.6822 11.3607
4.2892 1.7488 7.1736
6.6565 5.1131 7.1736
6.6565 5.1798 11.3607
0.5931 1.7155 9.2671
3.0555 5.1464 9.2671
4.2417 1.7155 3.0890
6.7040 5.1464 3.0890
1.8243 0.0000 11.1637
1.8243 3.4310 7.3706
5.4728 0.0000 1.1925
5.4728 3.4310 4.9856
```

Largest 10 diffraction maxima, in order of falling intensity, 10° ≤ 2θ ≤ 90°:
2θ 28.07, I 100
2θ 27.69, I 55
2θ 36.23, I 49
2θ 43.20, I 37
2θ 14.77, I 26
2θ 47.12, I 25
2θ 35.93, I 23
2θ 43.97, I 22
2θ 22.88, I 20
2θ 52.76, I 20


Entry 2:
Structure and simulated X-ray powder pattern of Ac12LaIr5 (a crystal structure in Alexandria, relaxed with PBE; Cu Kα (weighted mean of Kα1 and Kα2)).
Neutral-atom scattering factors, no anomalous dispersion.

Structural model:
```
Ac12LaIr5
1.0
3.7628 -6.7982 0.0000
3.7628 6.7982 0.0000
-1.8129 0.0000 13.7212
Ac La Ir
12 1 5
Cartesian
0.0000 0.0000 0.0000
2.5573 4.4489 3.1520
2.0899 2.5746 6.9917
3.8155 2.1630 0.1066
3.4153 3.8527 10.4700
2.4055 0.0000 3.1576
2.0899 -2.5746 6.9917
3.3335 0.0000 10.0585
3.8155 -2.1630 0.1066
2.5573 -4.4489 3.1520
4.9065 0.0000 6.2053
3.4153 -3.8527 10.4700
-0.3897 0.0000 8.7007
1.2612 2.2578 1.5532
1.2612 -2.2578 1.5532
4.8976 1.9958 8.5497
5.0573 0.0000 1.7557
4.8976 -1.9958 8.5497
```

Largest 10 diffraction maxima, in order of falling intensity, 10° ≤ 2θ ≤ 90°:
2θ 25.61, I 100
2θ 12.90, I 66
2θ 31.26, I 66
2θ 27.20, I 58
2θ 28.84, I 47
2θ 41.17, I 31
2θ 29.18, I 30
2θ 39.78, I 25
2θ 44.62, I 22
2θ 41.41, I 21


Entry 3:
Structure and simulated X-ray powder pattern of Ac5LaIr3 (a crystal structure in Alexandria, relaxed with PBE; Cu Kα (weighted mean of Kα1 and Kα2)).
Neutral-atom scattering factors, no anomalous dispersion.

Structural model:
```
Ac5LaIr3
1.0
6.9975 0.0000 0.0000
0.0000 4.4381 0.0000
-0.4932 0.0000 21.3307
Ac La Ir
10 2 6
Cartesian
1.2262 0.0000 8.4307
1.5647 0.0000 1.2711
1.4405 2.2191 19.0074
1.9171 2.2191 4.8825
1.7853 2.2191 12.0340
4.7191 2.2191 9.2967
4.5873 2.2191 16.4482
5.0639 2.2191 2.3233
4.9396 0.0000 20.0596
5.2781 0.0000 12.9000
1.1362 0.0000 15.5247
5.3681 0.0000 5.8060
0.0000 2.2191 0.0000
-0.2470 2.2191 14.2953
3.0077 0.0000 17.7273
3.2522 0.0000 10.6654
3.4966 0.0000 3.6035
6.7514 2.2191 7.0354
```

Largest 10 diffraction maxima, in order of falling intensity, 10° ≤ 2θ ≤ 90°:
2θ 26.75, I 100
2θ 27.03, I 99
2θ 43.28, I 70
2θ 17.99, I 59
2θ 34.79, I 47
2θ 40.66, I 45
2θ 17.58, I 40
2θ 35.24, I 39
2θ 43.86, I 38
2θ 35.59, I 33


Entry 4:
Structure and simulated X-ray powder pattern of AcLa2Ir2 (a crystal structure in Alexandria, relaxed with PBE; Cu Kα (weighted mean of Kα1 and Kα2)).
Neutral-atom scattering factors, no anomalous dispersion.

Structural model:
```
AcLa2Ir2
1.0
6.3591 -3.6684 0.0000
6.3591 3.6684 0.0000
-4.1423 0.0000 6.7043
Ac La Ir
2 4 4
Cartesian
4.2879 3.0641 3.3521
6.3591 -3.0641 0.0000
4.1988 0.6243 0.0022
2.1276 -0.6243 3.3543
8.4791 0.5669 0.0084
6.4079 -0.5669 3.3605
2.1337 1.8014 1.7018
6.4062 1.7519 1.6582
0.0626 -1.8014 5.0539
4.3351 -1.7519 5.0103
```

Largest 10 diffraction maxima, in order of falling intensity, 10° ≤ 2θ ≤ 90°:
2θ 42.68, I 100
2θ 36.30, I 83
2θ 36.06, I 82
2θ 27.56, I 80
2θ 36.53, I 79
2θ 27.86, I 77
2θ 27.72, I 76
2θ 16.56, I 63
2θ 42.66, I 51
2θ 78.13, I 26